# 1
The following is a simulated PXRD pattern of Li7NiO4F2. It was derived from the PBE+U geometry in the Materials Project, using Cu Ka.
Neutral-atom scattering factors, no anomalous dispersion.

Largest 10 diffraction maxima, low angle first, 2θ = 10–90°:
d_spacing  intensity
4.922  100
4.838  75
4.561  85
4.403  78
4.213  69
3.951  38
2.695  76
2.612  90
2.441  36
1.992  40

Structure:
Lattice parameters (Å, degrees): 5.3561 5.6371 10.0713 74.18 85.88 64.01
Fractional positions:
1 Li 0.0000 0.0000 0.0000
2 Li 0.0015 0.7203 0.6344
3 Li 0.0158 0.9223 0.2224
4 Li 0.0255 0.1465 0.7841
5 Li 0.4396 0.5516 0.4917
6 Li 0.4648 0.7749 0.0695
7 Li 0.4786 0.3458 0.9441
8 Li 0.4868 0.4651 0.7238
9 Li 0.4976 0.2562 0.1680
10 Li 0.5081 0.8730 0.8533
11 Li 0.5144 0.0310 0.3864
12 Li 0.9247 0.4581 0.3343
13 Li 0.9334 0.2779 0.5496
14 Li 0.9942 0.5916 0.8586
15 Ni 0.4708 0.0012 0.6157
16 Ni 0.9794 0.4549 0.0645
17 O 0.1614 0.6593 0.0452
18 O 0.2031 0.3353 0.7154
19 O 0.2861 0.1254 0.9996
20 O 0.3144 0.8144 0.6727
21 O 0.6395 0.1851 0.5700
22 O 0.7016 0.5315 0.9096
23 O 0.7202 0.6705 0.5050
24 O 0.8104 0.3012 0.1363
25 F 0.1272 0.0960 0.3862
26 F 0.2847 0.4409 0.3208
27 F 0.6850 0.8854 0.2179
28 F 0.8231 0.9416 0.8271

---

# 2
The following is a simulated PXRD pattern of Li9Mn2Co5O16. It was derived from the PBE+U geometry in the Materials Project, using Cu Ka.
Neutral-atom scattering factors, no anomalous dispersion.

Largest 10 diffraction maxima, low angle first, 2θ = 10–90°:
d_spacing  intensity
4.831  100
2.533  15
2.505  14
2.450  12
2.119  30
2.080  28
2.032  26
1.915  9
1.484  15
1.477  7

Structure:
Lattice parameters (Å, degrees): 5.7921 5.9150 9.6955 97.16 91.46 119.06
Fractional positions:
1 Li 0.0000 0.0000 0.0000
2 Li 0.0000 0.5000 0.0000
3 Li 0.1215 0.2471 0.7572
4 Li 0.2515 0.0051 0.5023
5 Li 0.3776 0.7514 0.2471
6 Li 0.5000 0.5000 0.0000
7 Li 0.6224 0.2486 0.7529
8 Li 0.7485 0.9949 0.4977
9 Li 0.8785 0.7529 0.2428
10 Mn 0.1238 0.7495 0.7534
11 Mn 0.8762 0.2505 0.2466
12 Co 0.2529 0.4965 0.5038
13 Co 0.3682 0.2419 0.2412
14 Co 0.5000 0.0000 0.0000
15 Co 0.6318 0.7581 0.7588
16 Co 0.7471 0.5035 0.4962
17 O 0.0582 0.5946 0.3740
18 O 0.0595 0.1365 0.3680
19 O 0.1811 0.3704 0.1401
20 O 0.2237 0.9026 0.1206
21 O 0.3007 0.6205 0.8659
22 O 0.3022 0.0842 0.8694
23 O 0.4183 0.8530 0.6320
24 O 0.4336 0.3844 0.6172
25 O 0.5664 0.6156 0.3828
26 O 0.5817 0.1470 0.3680
27 O 0.6978 0.9158 0.1306
28 O 0.6993 0.3795 0.1341
29 O 0.7763 0.0974 0.8794
30 O 0.8189 0.6296 0.8599
31 O 0.9405 0.8635 0.6320
32 O 0.9418 0.4054 0.6260

---

# 3
The following is a simulated PXRD pattern of Li2Cr3TeO8. It was derived from the PBE+U geometry in the Materials Project, using Cu Ka.
Neutral-atom scattering factors, no anomalous dispersion.

Largest 10 diffraction maxima, low angle first, 2θ = 10–90°:
d_spacing  intensity
4.932  100
4.302  9
2.630  19
2.589  35
2.466  12
2.151  49
1.954  11
1.654  12
1.538  16
1.505  15

Structure:
Lattice parameters (Å, degrees): 6.1531 6.1531 6.1531 58.57 58.57 58.57
Fractional positions:
1 Li 0.1284 0.1284 0.1284
2 Li 0.8716 0.8716 0.8716
3 Cr 0.0000 0.5000 0.5000
4 Cr 0.5000 0.0000 0.5000
5 Cr 0.5000 0.5000 0.0000
6 Te 0.5000 0.5000 0.5000
7 O 0.2586 0.2586 0.7154
8 O 0.2586 0.7154 0.2586
9 O 0.2656 0.2656 0.2656
10 O 0.2846 0.7414 0.7414
11 O 0.7154 0.2586 0.2586
12 O 0.7344 0.7344 0.7344
13 O 0.7414 0.2846 0.7414
14 O 0.7414 0.7414 0.2846